(1)
This entry pairs a crystal structure of SrIn4PbS8 with its simulated powder diffractogram. Radiation: a wavelength of 1.5418 Å. Structure: a crystal structure in Alexandria, relaxed with PBE.
Neutral-atom scattering factors, no anomalous dispersion.

Top 8 peaks for 10 to 80 degrees two-theta, by angle:
2θ = 12.15°, I = 66
2θ = 26.13°, I = 61
2θ = 26.99°, I = 94
2θ = 31.38°, I = 100
2θ = 33.82°, I = 72
2θ = 39.50°, I = 68
2θ = 42.75°, I = 67
2θ = 47.10°, I = 83

```
SrIn4PbS8
1.0
3.8588 2.2279 7.2848
-3.8588 2.2279 7.2848
0.0000 -4.4558 7.2848
Sr In Pb S
1 4 1 8
Direct
0.0000 0.0000 0.0000
0.5090 0.9851 0.9851
0.5149 0.5149 0.5149
0.9851 0.5090 0.9851
0.9851 0.9851 0.5090
0.3498 0.3498 0.3498
0.2130 0.2130 0.2130
0.2223 0.7376 0.7376
0.2626 0.2626 0.7543
0.2626 0.7543 0.2626
0.7376 0.2223 0.7376
0.7376 0.7376 0.2223
0.7543 0.2626 0.2626
0.7595 0.7595 0.7595
```

=====

(2)
This entry pairs a crystal structure of Pr8DyEr2 with its simulated powder diffractogram. Radiation: a wavelength of 1.5418 Å. Structure: a crystal structure in Alexandria, relaxed with PBE.
Neutral-atom scattering factors, no anomalous dispersion.

Top 8 peaks for 10 to 80 degrees two-theta, by angle:
2θ = 30.76°, I = 100
2θ = 30.94°, I = 85
2θ = 32.23°, I = 44
2θ = 32.45°, I = 45
2θ = 46.33°, I = 16
2θ = 46.44°, I = 16
2θ = 56.84°, I = 25
2θ = 61.85°, I = 27

```
Pr8DyEr2
1.0
5.2541 -6.8388 0.0000
5.2541 6.8388 0.0000
-0.0153 0.0000 5.5186
Pr Dy Er
8 1 2
Direct
0.1655 0.1655 0.0000
0.1998 0.4689 0.4994
0.2470 0.7530 0.0000
0.4689 0.1998 0.4994
0.5311 0.8002 0.5006
0.7530 0.2470 0.0000
0.8002 0.5311 0.5006
0.8345 0.8345 0.0000
0.5000 0.5000 0.0000
0.1190 0.8810 0.5000
0.8810 0.1190 0.5000
```

=====

(3)
This entry pairs a crystal structure of Er6AlIr2 with its simulated powder diffractogram. Radiation: a wavelength of 1.5418 Å. Structure: a crystal structure in Alexandria, relaxed with PBE.
Neutral-atom scattering factors, no anomalous dispersion.

Top 8 peaks for 10 to 80 degrees two-theta, by angle:
2θ = 13.47°, I = 85
2θ = 32.25°, I = 58
2θ = 33.75°, I = 94
2θ = 35.01°, I = 87
2θ = 35.84°, I = 100
2θ = 35.94°, I = 57
2θ = 39.12°, I = 48
2θ = 39.78°, I = 64

```
Er6AlIr2
1.0
-4.6312 4.6660 5.1845
4.6312 -4.6660 5.1845
4.6312 4.6660 -5.1845
Er Al Ir
12 2 4
Direct
0.0421 0.2401 0.8020
0.1799 0.2860 0.4659
0.1799 0.7140 0.8940
0.3330 0.0254 0.6925
0.3330 0.6405 0.3075
0.4381 0.2401 0.1980
0.5619 0.7599 0.8020
0.6670 0.3595 0.6925
0.6670 0.9746 0.3075
0.8201 0.2860 0.1060
0.8201 0.7140 0.5341
0.9579 0.7599 0.1980
0.0000 0.0000 0.0000
0.5000 0.5000 0.0000
0.1341 0.6341 0.5000
0.3224 0.0000 0.3224
0.6776 0.0000 0.6776
0.8659 0.3659 0.5000
```

=====

(4)
This entry pairs a crystal structure of HoTm2Pt9 with its simulated powder diffractogram. Radiation: a wavelength of 1.5418 Å. Structure: a crystal structure in Alexandria, relaxed with PBE.
Neutral-atom scattering factors, no anomalous dispersion.

Top 4 peaks for 10 to 80 degrees two-theta, by angle:
2θ = 38.04°, I = 100
2θ = 44.22°, I = 49
2θ = 64.31°, I = 33
2θ = 77.23°, I = 39

```
HoTm2Pt9
1.0
4.0969 0.0000 0.0000
0.0000 4.0969 0.0000
0.0000 0.0000 12.2899
Ho Tm Pt
1 2 9
Direct
0.0000 0.0000 0.0000
0.0000 0.0000 0.3338
0.0000 0.0000 0.6662
0.0000 0.5000 0.1679
0.0000 0.5000 0.5000
0.0000 0.5000 0.8321
0.5000 0.0000 0.1679
0.5000 0.0000 0.5000
0.5000 0.0000 0.8321
0.5000 0.5000 0.0000
0.5000 0.5000 0.3340
0.5000 0.5000 0.6660
```

=====

(5)
This entry pairs a crystal structure of Th2TlCoCu with its simulated powder diffractogram. Radiation: a wavelength of 1.5418 Å. Structure: a crystal structure in Alexandria, relaxed with PBE.
Neutral-atom scattering factors, no anomalous dispersion.

Top 8 peaks for 10 to 80 degrees two-theta, by angle:
2θ = 25.58°, I = 19
2θ = 28.79°, I = 40
2θ = 30.19°, I = 22
2θ = 31.68°, I = 100
2θ = 32.67°, I = 28
2θ = 33.53°, I = 71
2θ = 42.99°, I = 35
2θ = 58.46°, I = 22

```
Th2TlCoCu
1.0
7.2991 0.0000 0.0000
0.0000 4.2078 0.0000
-2.5720 0.0000 7.6194
Th Tl Co Cu
4 2 2 2
Direct
0.0580 0.2500 0.3197
0.3173 0.7500 0.0865
0.6827 0.2500 0.9135
0.9420 0.7500 0.6803
0.4025 0.7500 0.5948
0.5975 0.2500 0.4052
0.0616 0.2500 0.9402
0.9384 0.7500 0.0598
0.2550 0.2500 0.7495
0.7450 0.7500 0.2505
```

=====

(6)
This entry pairs a crystal structure of Ce4TcPb2 with its simulated powder diffractogram. Radiation: a wavelength of 1.5418 Å. Structure: a crystal structure in Alexandria, relaxed with PBE.
Neutral-atom scattering factors, no anomalous dispersion.

Top 8 peaks for 10 to 80 degrees two-theta, by angle:
2θ = 28.41°, I = 100
2θ = 29.12°, I = 50
2θ = 30.47°, I = 97
2θ = 31.91°, I = 86
2θ = 38.05°, I = 55
2θ = 49.90°, I = 38
2θ = 51.18°, I = 46
2θ = 59.59°, I = 34

```
Ce4TcPb2
1.0
3.6573 0.0000 0.0000
0.0000 6.5446 0.0000
0.0000 0.0000 17.6001
Ce Tc Pb
8 2 4
Direct
0.0000 0.0000 0.0000
0.0000 0.0000 0.3381
0.0000 0.5000 0.5000
0.0000 0.5000 0.8381
0.5000 0.2170 0.6691
0.5000 0.2830 0.1691
0.5000 0.7170 0.1691
0.5000 0.7830 0.6691
0.0000 0.0000 0.1693
0.0000 0.5000 0.6693
0.5000 0.0000 0.5007
0.5000 0.0000 0.8374
0.5000 0.5000 0.0007
0.5000 0.5000 0.3374
```

=====

(7)
This entry pairs a crystal structure of Tb4Se2N with its simulated powder diffractogram. Radiation: a wavelength of 1.5418 Å. Structure: a crystal structure in Alexandria, relaxed with PBE.
Neutral-atom scattering factors, no anomalous dispersion.

Top 8 peaks for 10 to 80 degrees two-theta, by angle:
2θ = 29.84°, I = 100
2θ = 35.88°, I = 31
2θ = 36.47°, I = 84
2θ = 39.01°, I = 65
2θ = 54.04°, I = 38
2θ = 56.35°, I = 22
2θ = 65.07°, I = 22
2θ = 69.01°, I = 26

```
Tb4Se2N
1.0
4.6177 0.0000 0.0000
0.0000 4.6177 0.0000
0.0000 0.0000 15.0162
Tb Se N
8 4 2
Direct
0.0000 0.0000 0.1706
0.0000 0.0000 0.8294
0.0000 0.5000 0.0000
0.0000 0.5000 0.5000
0.5000 0.0000 0.0000
0.5000 0.0000 0.5000
0.5000 0.5000 0.3294
0.5000 0.5000 0.6706
0.0000 0.0000 0.3652
0.0000 0.0000 0.6348
0.5000 0.5000 0.1348
0.5000 0.5000 0.8652
0.0000 0.0000 0.0000
0.5000 0.5000 0.5000
```

=====

(8)
This entry pairs a crystal structure of TbPa3Te6 with its simulated powder diffractogram. Radiation: a wavelength of 1.5418 Å. Structure: a crystal structure in Alexandria, relaxed with PBE.
Neutral-atom scattering factors, no anomalous dispersion.

Top 8 peaks for 10 to 80 degrees two-theta, by angle:
2θ = 19.55°, I = 47
2θ = 23.28°, I = 58
2θ = 32.01°, I = 28
2θ = 34.75°, I = 100
2θ = 38.25°, I = 24
2θ = 39.96°, I = 28
2θ = 41.17°, I = 18
2θ = 45.94°, I = 17

```
TbPa3Te6
1.0
5.5919 -7.7809 0.0000
5.5919 7.7809 0.0000
0.0000 0.0000 4.3857
Tb Pa Te
1 3 6
Direct
0.0000 0.0000 0.0000
0.0000 0.5000 0.5000
0.5000 0.0000 0.5000
0.5000 0.5000 0.0000
0.1484 0.8516 0.5000
0.1671 0.3993 0.0000
0.3993 0.1671 0.0000
0.6007 0.8329 0.0000
0.8329 0.6007 0.0000
0.8516 0.1484 0.5000
```

=====

(9)
This entry pairs a crystal structure of Rb3CdAg4 with its simulated powder diffractogram. Radiation: a wavelength of 1.5418 Å. Structure: a crystal structure in Alexandria, relaxed with PBE.
Neutral-atom scattering factors, no anomalous dispersion.

Top 8 peaks for 10 to 80 degrees two-theta, by angle:
2θ = 14.50°, I = 30
2θ = 15.42°, I = 29
2θ = 25.46°, I = 28
2θ = 27.93°, I = 46
2θ = 29.23°, I = 38
2θ = 29.48°, I = 100
2θ = 39.15°, I = 35
2θ = 46.43°, I = 28

```
Rb3CdAg4
1.0
6.9972 0.0000 0.0000
0.0000 7.6854 0.0000
0.0000 0.0000 10.0737
Rb Cd Ag
6 2 8
Direct
0.0000 0.0000 0.0000
0.0000 0.2446 0.3570
0.0000 0.7554 0.3570
0.5000 0.2554 0.8570
0.5000 0.5000 0.5000
0.5000 0.7446 0.8570
0.0000 0.5000 0.9603
0.5000 0.0000 0.4603
0.0000 0.3154 0.7125
0.0000 0.6846 0.7125
0.1968 0.0000 0.6403
0.3032 0.5000 0.1403
0.5000 0.1846 0.2125
0.5000 0.8154 0.2125
0.6968 0.5000 0.1403
0.8032 0.0000 0.6403
```

=====

(10)
This entry pairs a crystal structure of LaThAs2Rh5 with its simulated powder diffractogram. Radiation: a wavelength of 1.5418 Å. Structure: a crystal structure in Alexandria, relaxed with PBE.
Neutral-atom scattering factors, no anomalous dispersion.

Top 8 peaks for 10 to 80 degrees two-theta, by angle:
2θ = 23.03°, I = 41
2θ = 26.79°, I = 82
2θ = 34.70°, I = 100
2θ = 39.10°, I = 48
2θ = 44.12°, I = 77
2θ = 44.63°, I = 53
2θ = 52.37°, I = 26
2θ = 67.27°, I = 26

```
LaThAs2Rh5
1.0
4.1055 0.0000 0.0000
0.0000 4.1055 0.0000
0.0000 0.0000 11.3612
La Th As Rh
1 1 2 5
Direct
0.0000 0.0000 0.0000
0.0000 0.0000 0.5000
0.5000 0.5000 0.2108
0.5000 0.5000 0.7892
0.0000 0.5000 0.3191
0.0000 0.5000 0.6809
0.5000 0.0000 0.3191
0.5000 0.0000 0.6809
0.5000 0.5000 0.0000
```

=====

(11)
This entry pairs a crystal structure of BaBi6Pd6 with its simulated powder diffractogram. Radiation: a wavelength of 1.5418 Å. Structure: a crystal structure in Alexandria, relaxed with PBE.
Neutral-atom scattering factors, no anomalous dispersion.

Top 8 peaks for 10 to 80 degrees two-theta, by angle:
2θ = 29.67°, I = 100
2θ = 34.40°, I = 32
2θ = 35.18°, I = 98
2θ = 36.13°, I = 25
2θ = 39.32°, I = 87
2θ = 41.38°, I = 37
2θ = 61.55°, I = 26
2θ = 66.08°, I = 40

```
BaBi6Pd6
1.0
-3.0050 4.8048 5.2242
3.0050 -4.8048 5.2242
3.0050 4.8048 -5.2242
Ba Bi Pd
1 6 6
Direct
0.0000 0.0000 0.0000
0.1755 0.6755 0.5000
0.3412 0.0000 0.3412
0.3411 0.3411 0.0000
0.6588 0.0000 0.6588
0.6589 0.6589 0.0000
0.8245 0.3245 0.5000
0.0000 0.0000 0.5000
0.0000 0.5000 0.0000
0.2422 0.5000 0.7422
0.5000 0.0000 0.0000
0.5000 0.5000 0.5000
0.7578 0.5000 0.2578
```